This entry pairs a crystal structure of La9Ho4Er with its simulated powder X-ray diffraction pattern. Radiation: Cu Kα (weighted mean of Kα1 and Kα2). Structure: a cell relaxed with GGA-PBE.
Kinematic intensities with the Lorentz-polarization factor, no thermal factor.

Largest 10 diffraction maxima, by angle, 2θ = 15–90°:
2θ/deg  I_rel
21.86  11
31.07  54
31.35  100
31.85  38
35.78  11
50.63  22
54.88  17
55.19  21
55.45  12
64.42  23

```
La9Ho4Er
1.0
10.038 0.000 0.000
-5.019 8.693 0.000
0.000 0.000 11.515
La Ho Er
18 8 2
direct
0.078 0.539 0.250
0.207 0.415 0.529
0.207 0.415 0.971
0.207 0.793 0.529
0.207 0.793 0.971
0.415 0.207 0.029
0.415 0.207 0.471
0.461 0.539 0.250
0.461 0.922 0.250
0.539 0.078 0.750
0.539 0.461 0.750
0.585 0.793 0.529
0.585 0.793 0.971
0.793 0.207 0.029
0.793 0.207 0.471
0.793 0.585 0.029
0.793 0.585 0.471
0.922 0.461 0.750
0.000 0.000 0.000
0.000 0.000 0.500
0.109 0.219 0.250
0.109 0.891 0.250
0.219 0.109 0.750
0.781 0.891 0.250
0.891 0.109 0.750
0.891 0.781 0.750
0.333 0.667 0.750
0.667 0.333 0.250
```

=====

This entry pairs a crystal structure of SmFe3I12 with its simulated powder X-ray diffraction pattern. Radiation: Cu Kα (weighted mean of Kα1 and Kα2). Structure: a cell relaxed with GGA-PBE.
Kinematic intensities with the Lorentz-polarization factor, no thermal factor.

Largest 10 diffraction maxima, by angle, 2θ = 15–90°:
2θ/deg  I_rel
15.94  44
17.32  31
20.92  32
24.39  36
27.11  98
28.30  100
32.20  29
50.70  32
52.82  29
67.33  29

```
SmFe3I12
1.0
15.194 0.000 0.000
-7.597 13.158 0.000
0.000 0.000 8.157
Sm Fe I
2 6 24
direct
0.333 0.667 0.250
0.667 0.333 0.750
0.123 0.427 0.750
0.303 0.877 0.750
0.427 0.303 0.250
0.573 0.697 0.750
0.697 0.123 0.250
0.877 0.573 0.250
0.011 0.503 0.750
0.029 0.237 0.750
0.209 0.971 0.750
0.237 0.209 0.250
0.238 0.758 0.011
0.238 0.758 0.489
0.242 0.480 0.011
0.242 0.480 0.489
0.480 0.238 0.511
0.480 0.238 0.989
0.492 0.989 0.750
0.497 0.508 0.750
0.503 0.492 0.250
0.508 0.011 0.250
0.520 0.762 0.011
0.520 0.762 0.489
0.758 0.520 0.511
0.758 0.520 0.989
0.762 0.242 0.511
0.762 0.242 0.989
0.763 0.791 0.750
0.791 0.029 0.250
0.971 0.763 0.250
0.989 0.497 0.250
```

=====

This entry pairs a crystal structure of Pm6InSn6 with its simulated powder X-ray diffraction pattern. Radiation: Cu Kα (weighted mean of Kα1 and Kα2). Structure: a cell relaxed with GGA-PBE.
Kinematic intensities with the Lorentz-polarization factor, no thermal factor.

Largest 10 diffraction maxima, by angle, 2θ = 15–90°:
2θ/deg  I_rel
27.37  47
29.98  19
31.71  40
32.31  57
34.05  33
36.12  100
37.69  21
56.49  33
59.86  23
67.63  28

```
Pm6InSn6
1.0
6.516 0.000 0.000
-3.258 5.643 0.000
0.000 0.000 10.531
Pm In Sn
6 1 6
direct
0.000 0.000 0.191
0.000 0.000 0.809
0.333 0.667 0.000
0.333 0.667 0.500
0.667 0.333 0.000
0.667 0.333 0.500
0.000 0.000 0.500
0.000 0.500 0.250
0.000 0.500 0.750
0.500 0.000 0.250
0.500 0.000 0.750
0.500 0.500 0.250
0.500 0.500 0.750
```

=====

This entry pairs a crystal structure of BaCd3Pb with its simulated powder X-ray diffraction pattern. Radiation: Cu Kα (weighted mean of Kα1 and Kα2). Structure: a cell relaxed with GGA-PBE.
Kinematic intensities with the Lorentz-polarization factor, no thermal factor.

Largest 10 diffraction maxima, by angle, 2θ = 15–90°:
2θ/deg  I_rel
19.37  29
27.87  93
29.23  66
29.39  65
36.55  100
38.42  31
38.54  31
40.08  57
46.47  23
70.85  24

```
BaCd3Pb
1.0
0.000 3.489 6.325
3.465 0.000 6.325
3.465 3.489 0.000
Ba Cd Pb
1 3 1
direct
0.000 0.000 0.000
0.246 0.246 0.254
0.621 0.621 0.379
0.746 0.746 0.754
0.388 0.388 0.612
```

=====

This entry pairs a crystal structure of AcNd4Sm4 with its simulated powder X-ray diffraction pattern. Radiation: Cu Kα (weighted mean of Kα1 and Kα2). Structure: a cell relaxed with GGA-PBE.
Kinematic intensities with the Lorentz-polarization factor, no thermal factor.

Largest 10 diffraction maxima, by angle, 2θ = 15–90°:
2θ/deg  I_rel
29.62  100
34.34  51
49.35  37
58.60  29
58.65  15
61.50  13
72.38  4
80.08  18
82.57  3
82.62  14

```
AcNd4Sm4
1.0
6.395 0.000 0.000
-1.062 9.716 0.000
-3.190 -2.458 10.320
Ac Nd Sm
2 8 8
direct
0.248 0.416 0.195
0.752 0.584 0.805
0.247 0.080 0.970
0.249 0.413 0.858
0.251 0.754 0.749
0.254 0.754 0.419
0.746 0.246 0.581
0.749 0.246 0.251
0.751 0.587 0.142
0.753 0.920 0.030
0.245 0.415 0.528
0.249 0.083 0.637
0.250 0.080 0.307
0.257 0.755 0.086
0.743 0.245 0.914
0.750 0.920 0.693
0.751 0.917 0.363
0.755 0.585 0.472
```

=====

This entry pairs a crystal structure of LiSm3Te3 with its simulated powder X-ray diffraction pattern. Radiation: Cu Kα (weighted mean of Kα1 and Kα2). Structure: a cell relaxed with GGA-PBE.
Kinematic intensities with the Lorentz-polarization factor, no thermal factor.

Largest 10 diffraction maxima, by angle, 2θ = 15–90°:
2θ/deg  I_rel
20.95  32
28.49  54
30.10  69
31.13  100
31.34  32
32.39  35
35.16  55
35.45  85
40.42  36
40.60  63

```
LiSm3Te3
1.0
12.474 0.000 0.000
0.000 4.444 0.000
0.000 0.000 14.174
Li Sm Te
4 12 12
direct
0.057 0.250 0.188
0.443 0.750 0.688
0.557 0.250 0.312
0.943 0.750 0.812
0.052 0.250 0.611
0.139 0.750 0.992
0.221 0.750 0.272
0.279 0.250 0.772
0.361 0.250 0.492
0.448 0.750 0.111
0.552 0.250 0.889
0.639 0.750 0.508
0.721 0.750 0.228
0.779 0.250 0.728
0.861 0.250 0.008
0.948 0.750 0.389
0.044 0.250 0.847
0.128 0.250 0.403
0.237 0.750 0.618
0.263 0.250 0.118
0.372 0.750 0.903
0.456 0.750 0.347
0.544 0.250 0.653
0.628 0.250 0.097
0.737 0.750 0.882
0.763 0.250 0.382
0.872 0.750 0.597
0.956 0.750 0.153
```

=====

This entry pairs a crystal structure of Y4AlCu3 with its simulated powder X-ray diffraction pattern. Radiation: Cu Kα (weighted mean of Kα1 and Kα2). Structure: a cell relaxed with GGA-PBE.
Kinematic intensities with the Lorentz-polarization factor, no thermal factor.

Largest 10 diffraction maxima, by angle, 2θ = 15–90°:
2θ/deg  I_rel
25.77  18
32.38  100
33.01  19
34.62  44
38.79  34
40.21  80
49.09  18
54.10  24
65.24  27
79.46  14

```
Y4AlCu3
1.0
3.712 0.000 0.000
0.000 4.484 0.000
0.000 0.000 10.854
Y Al Cu
4 1 3
direct
0.000 0.000 0.000
0.000 0.500 0.273
0.500 0.000 0.478
0.500 0.500 0.788
0.000 0.000 0.703
0.000 0.500 0.566
0.500 0.000 0.204
0.500 0.500 0.068
```

=====

This entry pairs a crystal structure of GaCoGePt with its simulated powder X-ray diffraction pattern. Radiation: Cu Kα (weighted mean of Kα1 and Kα2). Structure: a cell relaxed with GGA-PBE.
Kinematic intensities with the Lorentz-polarization factor, no thermal factor.

Largest 10 diffraction maxima, by angle, 2θ = 15–90°:
2θ/deg  I_rel
20.85  38
22.12  24
29.79  28
39.08  63
39.20  63
42.43  63
44.00  100
44.37  33
45.12  26
57.52  27

```
GaCoGePt
1.0
3.204 0.000 0.000
-0.013 4.172 0.000
-1.601 -1.190 4.260
Ga Co Ge Pt
1 1 1 1
direct
0.000 0.000 0.000
0.267 0.907 0.537
0.761 0.355 0.520
0.504 0.511 0.007
```

=====

This entry pairs a crystal structure of CsTi2Se4 with its simulated powder X-ray diffraction pattern. Radiation: Cu Kα (weighted mean of Kα1 and Kα2). Structure: a cell relaxed with GGA-PBE.
Kinematic intensities with the Lorentz-polarization factor, no thermal factor.

Largest 10 diffraction maxima, by angle, 2θ = 15–90°:
2θ/deg  I_rel
29.49  37
29.68  44
31.20  52
31.32  100
33.40  24
39.84  18
45.61  29
47.16  25
56.99  19
57.38  19

```
CsTi2Se4
1.0
1.927 -6.715 0.000
1.927 6.715 0.000
0.000 0.000 13.577
Cs Ti Se
2 4 8
direct
0.106 0.894 0.750
0.894 0.106 0.250
0.368 0.632 0.568
0.368 0.632 0.932
0.632 0.368 0.068
0.632 0.368 0.432
0.000 0.000 0.000
0.000 0.000 0.500
0.258 0.742 0.092
0.258 0.742 0.408
0.396 0.604 0.750
0.604 0.396 0.250
0.742 0.258 0.592
0.742 0.258 0.908
```

=====

This entry pairs a crystal structure of La3Y2Mg2 with its simulated powder X-ray diffraction pattern. Radiation: Cu Kα (weighted mean of Kα1 and Kα2). Structure: a cell relaxed with GGA-PBE.
Kinematic intensities with the Lorentz-polarization factor, no thermal factor.

Largest 10 diffraction maxima, by angle, 2θ = 15–90°:
2θ/deg  I_rel
16.78  48
30.46  79
31.07  100
32.31  22
33.05  43
34.01  34
35.75  22
48.16  25
57.81  22
61.66  27

```
La3Y2Mg2
1.0
2.710 -11.890 0.000
2.710 11.890 0.000
0.000 0.000 3.529
La Y Mg
3 2 2
direct
0.000 0.000 0.000
0.148 0.852 0.000
0.852 0.148 0.000
0.288 0.712 0.500
0.712 0.288 0.500
0.430 0.570 0.500
0.570 0.430 0.500
```

=====

This entry pairs a crystal structure of Cs2FeCoCl6 with its simulated powder X-ray diffraction pattern. Radiation: Cu Kα (weighted mean of Kα1 and Kα2). Structure: a cell relaxed with GGA-PBE.
Kinematic intensities with the Lorentz-polarization factor, no thermal factor.

Largest 10 diffraction maxima, by angle, 2θ = 15–90°:
2θ/deg  I_rel
25.02  100
30.77  52
35.68  73
44.08  44
51.35  48
57.91  13
61.04  13
64.10  16
69.95  22
86.43  14

```
Cs2FeCoCl6
1.0
-3.561 3.561 5.025
3.561 -3.561 5.025
3.561 3.561 -5.025
Cs Fe Co Cl
2 1 1 6
direct
0.250 0.750 0.500
0.750 0.250 0.500
0.000 0.000 0.000
0.500 0.500 0.000
0.248 0.248 0.496
0.248 0.752 0.000
0.249 0.249 0.000
0.751 0.751 0.000
0.752 0.248 0.000
0.752 0.752 0.504
```

=====

This entry pairs a crystal structure of Mn2GaBSe with its simulated powder X-ray diffraction pattern. Radiation: Cu Kα (weighted mean of Kα1 and Kα2). Structure: a cell relaxed with GGA-PBE.
Kinematic intensities with the Lorentz-polarization factor, no thermal factor.

Largest 10 diffraction maxima, by angle, 2θ = 15–90°:
2θ/deg  I_rel
33.91  44
38.26  100
42.77  65
45.40  10
46.09  20
58.99  38
61.40  10
72.52  14
75.57  11
77.96  23

```
Mn2GaBSe
1.0
1.566 0.904 7.877
-1.566 0.904 7.877
0.000 -1.808 7.877
Mn Ga B Se
2 1 1 1
direct
0.000 0.000 0.000
0.246 0.246 0.246
0.411 0.411 0.411
0.625 0.625 0.625
0.842 0.842 0.842
```